Diffraction record for Rb3Sn2Br4Cl3. The powder diffractogram is theoretical, not measured: it uses the PBE geometry in Alexandria and CuKα.
Intensities are scaled so that the largest is 100.

Top 10 peaks for 10 to 90 degrees two-theta, sorted by position:
- 12.51 deg, I 47
- 21.72 deg, I 100
- 22.29 deg, I 57
- 28.90 deg, I 40
- 29.99 deg, I 59
- 31.62 deg, I 60
- 31.84 deg, I 85
- 32.62 deg, I 56
- 44.30 deg, I 44
- 45.48 deg, I 43

Cell and atoms:
```
Rb3Sn2Br4Cl3
1.0
-2.811 14.149 2.980
2.811 -14.149 2.980
2.811 14.149 -2.980
Rb Sn Br Cl
3 2 4 3
Cartesian
0.000 0.000 0.000
2.811 9.098 -1.787
0.000 5.051 1.193
0.000 11.279 0.847
0.000 17.019 0.847
2.811 -2.639 0.942
2.811 2.639 0.942
0.000 8.400 0.441
0.000 19.898 0.441
2.811 11.219 1.063
0.000 14.149 1.010
0.000 2.930 4.043
```